Theoretical powder X-ray diffraction pattern
Compound: CrCo3N4
Radiation: Cu Kα (weighted mean of Kα1 and Kα2)
Structure: a DFT-relaxed cell (GGA-PBE, Alexandria)
Lines closer than 0.1° are merged.

Peak list (5 most intense, 10 to 80 degrees two-theta, in order of rising 2θ)
- 36.42°, rel. 100
- 42.30°, rel. 29
- 61.37°, rel. 38
- 73.51°, rel. 32
- 77.36°, rel. 6

Crystal structure
```
CrCo3N4
1.0
-2.136 2.136 4.274
2.136 -2.136 4.274
2.136 2.136 -4.274
Cr Co N
1 3 4
Direct
0.000 0.000 0.000 Cr
0.250 0.750 0.500 Co
0.500 0.500 0.000 Co
0.750 0.250 0.500 Co
0.124 0.631 0.000 N
0.369 0.369 0.493 N
0.631 0.124 0.000 N
0.876 0.876 0.507 N
```